Entry 1:
For Ca4Nb2O9, DFT lattice parameters and positions (PBE) gives the theoretical powder diffractogram in this record (copper Kα).
Peak positions follow from Bragg's law for the DFT cell and can differ from measured ones.

Largest 8 diffraction maxima, sorted by position, 2θ from 5° to 70°:
(0 1 -2), 21.98 deg, I = 53
(2 0 2), 30.61 deg, I = 48
(-2 1 2), 31.02 deg, I = 100
(0 1 4), 31.21 deg, I = 50
(2 3 2), 31.31 deg, I = 50
(2 2 -2), 31.94 deg, I = 40
(0 4 4), 44.42 deg, I = 30
(2 5 -2), 56.36 deg, I = 37

Atomic structure:
```
data_Ca4Nb2O9
_space_group_name_H-M_alt 'P 1'
_space_group_IT_number 1
_space_group_name_Hall 'P 1'
_cell_length_a 8.082
_cell_length_b 9.890
_cell_length_c 11.466
_cell_angle_alpha 72.27
_cell_angle_beta 88.68
_cell_angle_gamma 67.40
loop_
_atom_site_label
_atom_site_type_symbol
_atom_site_fract_x
_atom_site_fract_y
_atom_site_fract_z
Ca1 Ca 0.000 0.000 0.000
Ca2 Ca 0.004 0.002 0.501
Ca3 Ca 0.057 0.369 0.383
Ca4 Ca 0.132 0.314 0.928
Ca5 Ca 0.233 0.010 0.735
Ca6 Ca 0.300 0.961 0.264
Ca7 Ca 0.329 0.344 0.668
Ca8 Ca 0.381 0.697 0.073
Ca9 Ca 0.469 0.650 0.596
Ca10 Ca 0.534 0.356 0.408
Ca11 Ca 0.625 0.298 0.936
Ca12 Ca 0.672 0.662 0.339
Ca13 Ca 0.705 0.035 0.724
Ca14 Ca 0.776 0.987 0.266
Ca15 Ca 0.880 0.674 0.077
Ca16 Ca 0.939 0.642 0.620
Nb1 Nb 0.154 0.673 0.346
Nb2 Nb 0.168 0.687 0.833
Nb3 Nb 0.323 0.343 0.156
Nb4 Nb 0.487 0.018 0.493
Nb5 Nb 0.507 0.997 0.997
Nb6 Nb 0.681 0.658 0.842
Nb7 Nb 0.832 0.318 0.172
Nb8 Nb 0.848 0.330 0.659
O1 O 0.008 0.797 0.439
O2 O 0.018 0.878 0.715
O3 O 0.048 0.361 0.728
O4 O 0.063 0.396 0.155
O5 O 0.090 0.754 0.977
O6 O 0.140 0.843 0.195
O7 O 0.223 0.464 0.465
O8 O 0.243 0.575 0.713
O9 O 0.268 0.008 0.941
O10 O 0.309 0.922 0.536
O11 O 0.318 0.454 0.985
O12 O 0.327 0.500 0.224
O13 O 0.348 0.201 0.353
O14 O 0.362 0.149 0.112
O15 O 0.384 0.734 0.837
O16 O 0.395 0.665 0.393
O17 O 0.416 0.112 0.629
O18 O 0.454 0.197 0.866
O19 O 0.527 0.820 0.146
O20 O 0.585 0.893 0.382
O21 O 0.602 0.347 0.609
O22 O 0.620 0.265 0.175
O23 O 0.644 0.860 0.901
O24 O 0.654 0.799 0.671
O25 O 0.677 0.497 0.786
O26 O 0.688 0.550 0.025
O27 O 0.699 0.073 0.491
O28 O 0.727 0.007 0.062
O29 O 0.758 0.429 0.293
O30 O 0.774 0.543 0.541
O31 O 0.852 0.161 0.807
O32 O 0.914 0.246 0.030
O33 O 0.944 0.603 0.856
O34 O 0.948 0.647 0.276
O35 O 0.986 0.126 0.290
O36 O 0.992 0.208 0.565
```

=====

Entry 2:
For Ca4Nb2O9, DFT lattice parameters and positions (PBE) gives the theoretical powder diffractogram in this record (copper Kα).
Peak positions follow from Bragg's law for the DFT cell and can differ from measured ones.

Largest 8 diffraction maxima, sorted by position, 2θ from 5° to 70°:
(2 1 0), 21.88 deg, I = 50
(2 0 2), 30.60 deg, I = 48
(-2 1 2), 31.10 deg, I = 100
(2 3 2), 31.21 deg, I = 51
(0 1 4), 31.34 deg, I = 52
(2 2 -2), 31.93 deg, I = 42
(0 4 4), 44.57 deg, I = 30
(0 2 -4), 44.96 deg, I = 28

Atomic structure:
```
data_Ca4Nb2O9
_space_group_name_H-M_alt 'P -1'
_space_group_IT_number 2
_space_group_name_Hall '-P 1'
_cell_length_a 8.124
_cell_length_b 9.880
_cell_length_c 11.421
_cell_angle_alpha 72.18
_cell_angle_beta 88.52
_cell_angle_gamma 67.04
loop_
_atom_site_label
_atom_site_type_symbol
_atom_site_fract_x
_atom_site_fract_y
_atom_site_fract_z
Ca1 Ca 0.000 0.000 0.000
Ca2 Ca 0.000 0.000 0.500
Ca3 Ca 0.036 0.366 0.413
Ca4 Ca 0.116 0.314 0.936
Ca5 Ca 0.231 0.010 0.731
Ca6 Ca 0.305 0.989 0.255
Ca7 Ca 0.336 0.331 0.666
Ca8 Ca 0.372 0.689 0.068
Ca9 Ca 0.456 0.628 0.601
Nb1 Nb 0.148 0.675 0.826
Nb2 Nb 0.163 0.686 0.326
Nb3 Nb 0.340 0.341 0.165
Nb4 Nb 0.500 0.000 0.000
Nb5 Nb 0.500 0.000 0.500
O1 O 0.052 0.354 0.617
O2 O 0.066 0.764 0.151
O3 O 0.092 0.887 0.343
O4 O 0.111 0.261 0.173
O5 O 0.163 0.833 0.891
O6 O 0.167 0.780 0.660
O7 O 0.188 0.488 0.785
O8 O 0.188 0.522 0.022
O9 O 0.232 0.088 0.502
O10 O 0.246 0.434 0.291
O11 O 0.274 0.986 0.058
O12 O 0.283 0.549 0.499
O13 O 0.382 0.112 0.827
O14 O 0.408 0.648 0.276
O15 O 0.420 0.210 0.041
O16 O 0.461 0.599 0.854
O17 O 0.471 0.131 0.309
O18 O 0.488 0.830 0.446
```

=====

Entry 3:
For CaNb2P6O21, DFT lattice parameters and positions (PBE) gives the theoretical powder diffractogram in this record (copper Kα).
Peak positions follow from Bragg's law for the DFT cell and can differ from measured ones.

Largest 8 diffraction maxima, sorted by position, 2θ from 5° to 70°:
(1 1 -1), 12.27 deg, I = 8
(2 0 -2), 18.26 deg, I = 13
(2 2 0), 21.16 deg, I = 100
(2 2 -1), 21.84 deg, I = 11
(2 0 -3), 23.80 deg, I = 9
(2 2 3), 31.13 deg, I = 13
(4 2 1), 32.85 deg, I = 11
(0 4 0), 33.29 deg, I = 21

Atomic structure:
```
data_CaNb2P6O21
_space_group_name_H-M_alt 'C 1 2/m 1'
_space_group_IT_number 12
_space_group_name_Hall '-C 2y'
_cell_length_a 13.508
_cell_length_b 10.780
_cell_length_c 12.637
_cell_angle_alpha 90.00
_cell_angle_beta 96.16
_cell_angle_gamma 90.00
loop_
_atom_site_label
_atom_site_type_symbol
_atom_site_fract_x
_atom_site_fract_y
_atom_site_fract_z
Ca1 Ca 0.224 0.000 0.138
Nb1 Nb 0.000 0.245 0.500
Nb2 Nb 0.215 0.500 0.178
P1 P 0.059 0.262 0.103
P2 P 0.111 0.241 0.766
P3 P 0.141 0.000 0.411
P4 P 0.156 0.500 0.455
O1 O 0.000 0.328 0.000
O2 O 0.025 0.198 0.836
O3 O 0.058 0.241 0.650
O4 O 0.095 0.382 0.472
O5 O 0.098 0.116 0.465
O6 O 0.103 0.369 0.172
O7 O 0.128 0.165 0.071
O8 O 0.130 0.000 0.293
O9 O 0.153 0.363 0.798
O10 O 0.183 0.132 0.776
O11 O 0.199 0.500 0.352
O12 O 0.227 0.500 0.040
O13 O 0.241 0.500 0.553
```

=====

Entry 4:
For CaNb2P2O11, DFT lattice parameters and positions (PBE) gives the theoretical powder diffractogram in this record (copper Kα).
Peak positions follow from Bragg's law for the DFT cell and can differ from measured ones.

Largest 8 diffraction maxima, sorted by position, 2θ from 5° to 70°:
(1 1 0), 9.96 deg, I = 21
(3 1 0), 19.40 deg, I = 27
(0 2 1), 23.33 deg, I = 100
(4 0 0), 23.57 deg, I = 49
(4 2 -1), 32.62 deg, I = 53
(0 0 2), 33.86 deg, I = 18
(4 2 1), 34.17 deg, I = 25
(0 4 2), 47.72 deg, I = 26

Atomic structure:
```
data_CaNb2P2O11
_space_group_name_H-M_alt 'C 1 2/c 1'
_space_group_IT_number 15
_space_group_name_Hall '-C 2yc'
_cell_length_a 15.126
_cell_length_b 10.987
_cell_length_c 5.306
_cell_angle_alpha 90.00
_cell_angle_beta 93.57
_cell_angle_gamma 90.00
loop_
_atom_site_label
_atom_site_type_symbol
_atom_site_fract_x
_atom_site_fract_y
_atom_site_fract_z
Ca1 Ca 0.000 0.105 0.250
Nb1 Nb 0.125 0.380 0.240
P1 P 0.147 0.168 0.745
O1 O 0.000 0.333 0.250
O2 O 0.084 0.070 0.634
O3 O 0.114 0.476 0.930
O4 O 0.118 0.214 0.004
O5 O 0.148 0.275 0.553
O6 O 0.243 0.117 0.784
```